# 1
Diffraction record for BaAlGa2Pd2. The powder X-ray diffraction pattern is simulated, not measured: it uses a structure optimized by DFT (GGA-PBE) and Cu Kα X-rays.
Neutral-atom scattering factors, no anomalous dispersion.

Structural model:
abc: 10.7624 8.2061 5.5937
angles: 90.00 90.00 90.00
Space group Cmcm (No. 63)
Asymmetric unit:
Ba 0.0000 0.1526 0.2500 [4 per cell]
Al 0.0000 0.4283 0.7500 [4 per cell]
Ga 0.1908 0.2190 0.7500 [8 per cell]
Pd 0.1957 0.5000 0.0000 [8 per cell]

Largest 6 diffraction maxima, by intensity, 2θ = 10–90°:
- 31.6°, rel. 100
- 39.0°, rel. 80
- 31.7°, rel. 67
- 27.1°, rel. 65
- 42.6°, rel. 49
- 33.8°, rel. 45



# 2
Diffraction record for ZnGa. The powder X-ray diffraction pattern is simulated, not measured: it uses a structure optimized by DFT (GGA-PBE) and Cu Kα X-rays.
Neutral-atom scattering factors, no anomalous dispersion.

Structural model:
abc: 2.8499 2.8499 4.7459
angles: 90.00 90.00 120.00
Space group P-6m2 (No. 187)
Asymmetric unit:
Zn 0.0000 0.0000 0.0000 [1 per cell]
Ga 0.3333 0.6667 0.5000 [1 per cell]

Largest 6 diffraction maxima, by intensity, 2θ = 10–90°:
- 41.2°, rel. 100
- 37.9°, rel. 28
- 36.4°, rel. 24
- 70.7°, rel. 19
- 78.3°, rel. 19
- 65.5°, rel. 16



# 3
Diffraction record for PrGdSb2. The powder X-ray diffraction pattern is simulated, not measured: it uses a structure optimized by DFT (GGA-PBE) and Cu Kα X-rays.
Neutral-atom scattering factors, no anomalous dispersion.

Structural model:
abc: 4.4892 4.4892 6.3475
angles: 90.00 90.00 90.00
Space group P4/mmm (No. 123)
Asymmetric unit:
Pr 0.0000 0.0000 0.0000 [1 per cell]
Gd 0.5000 0.5000 0.5000 [1 per cell]
Sb 0.0000 0.0000 0.5000 [1 per cell]
Sb 0.5000 0.5000 0.0000 [1 per cell]

Largest 6 diffraction maxima, by intensity, 2θ = 10–90°:
- 28.1°, rel. 100
- 40.2°, rel. 77
- 65.8°, rel. 35
- 49.8°, rel. 27
- 73.0°, rel. 26
- 58.1°, rel. 13